No. 1
# Zn4AsN4
Simulated powder diffractogram, copper Kα. Input: a structure optimized by DFT (PBE).
Intensities are scaled so that the largest is 100.

Largest 6 diffraction maxima, sorted by position, 2θ = 15–90°:
- 2θ 30.6, d 2.918, intensity 59
- 2θ 35.2, d 2.547, intensity 82
- 2θ 36.7, d 2.451, intensity 100
- 2θ 43.5, d 2.081, intensity 25
- 2θ 53.3, d 1.718, intensity 24
- 2θ 53.9, d 1.702, intensity 26

Structural model:
```
data_Zn4AsN4
_cell_length_a 8.394
_cell_length_b 7.678
_cell_length_c 6.807
_cell_angle_alpha 90.00
_cell_angle_beta 90.00
_cell_angle_gamma 90.00
_symmetry_space_group_name_H-M 'C m c m'
_symmetry_Int_Tables_number 63
_symmetry_space_group_name_Hall '-C 2c 2'
loop_
_atom_site_label
_atom_site_fract_x
_atom_site_fract_y
_atom_site_fract_z
_atom_site_occupancy
Zn1 0.149 0.221 0.250 1
Zn2 0.170 0.500 0.000 1
As1 0.000 0.174 0.750 1
N1 0.000 0.295 0.501 1
N2 0.194 0.043 0.750 1
```



No. 2
# Na5As4
Simulated powder diffractogram, copper Kα. Input: a structure optimized by DFT (PBE).
Intensities are scaled so that the largest is 100.

Largest 6 diffraction maxima, sorted by position, 2θ = 15–90°:
- 2θ 17.9, d 4.947, intensity 43
- 2θ 21.0, d 4.222, intensity 100
- 2θ 33.8, d 2.648, intensity 43
- 2θ 37.4, d 2.402, intensity 60
- 2θ 37.9, d 2.372, intensity 51
- 2θ 38.6, d 2.334, intensity 46

Structural model:
```
data_Na5As4
_cell_length_a 10.553
_cell_length_b 4.668
_cell_length_c 9.658
_cell_angle_alpha 90.00
_cell_angle_beta 110.36
_cell_angle_gamma 90.00
_symmetry_space_group_name_H-M 'C 1 2/m 1'
_symmetry_Int_Tables_number 12
_symmetry_space_group_name_Hall '-C 2y'
loop_
_atom_site_label
_atom_site_fract_x
_atom_site_fract_y
_atom_site_fract_z
_atom_site_occupancy
Na1 0.000 0.000 0.000 1
Na2 0.100 0.000 0.386 1
Na3 0.245 0.000 0.837 1
As1 0.044 0.500 0.830 1
As2 0.107 0.500 0.607 1
```



No. 3
# NaAs
Simulated powder diffractogram, copper Kα. Input: a structure optimized by DFT (PBE).
Intensities are scaled so that the largest is 100.

Largest 6 diffraction maxima, sorted by position, 2θ = 15–90°:
- 2θ 20.6, d 4.312, intensity 76
- 2θ 22.7, d 3.915, intensity 85
- 2θ 31.9, d 2.806, intensity 92
- 2θ 34.3, d 2.616, intensity 100
- 2θ 39.9, d 2.259, intensity 84
- 2θ 43.4, d 2.083, intensity 87

Structural model:
```
data_NaAs
_cell_length_a 6.288
_cell_length_b 5.951
_cell_length_c 11.649
_cell_angle_alpha 90.00
_cell_angle_beta 116.81
_cell_angle_gamma 90.00
_symmetry_space_group_name_H-M 'P 1 21/c 1'
_symmetry_Int_Tables_number 14
_symmetry_space_group_name_Hall '-P 2ybc'
loop_
_atom_site_label
_atom_site_fract_x
_atom_site_fract_y
_atom_site_fract_z
_atom_site_occupancy
Na1 0.219 0.110 0.330 1
Na2 0.235 0.663 0.532 1
As1 0.312 0.161 0.619 1
As2 0.320 0.606 0.289 1
```



No. 4
# NaAs
Simulated powder diffractogram, copper Kα. Input: a structure optimized by DFT (PBE).
Intensities are scaled so that the largest is 100.

Largest 6 diffraction maxima, sorted by position, 2θ = 15–90°:
- 2θ 17.0, d 5.205, intensity 30
- 2θ 19.9, d 4.454, intensity 66
- 2θ 34.5, d 2.603, intensity 76
- 2θ 35.8, d 2.506, intensity 100
- 2θ 40.5, d 2.227, intensity 32
- 2θ 41.0, d 2.203, intensity 48

Structural model:
```
data_NaAs
_cell_length_a 6.414
_cell_length_b 8.908
_cell_length_c 3.031
_cell_angle_alpha 90.00
_cell_angle_beta 90.00
_cell_angle_gamma 90.00
_symmetry_space_group_name_H-M 'C m m m'
_symmetry_Int_Tables_number 65
_symmetry_space_group_name_Hall '-C 2 2'
loop_
_atom_site_label
_atom_site_fract_x
_atom_site_fract_y
_atom_site_fract_z
_atom_site_occupancy
Na1 0.000 0.221 0.000 1
As1 0.195 0.500 0.500 1
```



No. 5
# NaNbAs2O8
Simulated powder diffractogram, copper Kα. Input: a structure optimized by DFT (PBE).
Intensities are scaled so that the largest is 100.

Largest 6 diffraction maxima, sorted by position, 2θ = 15–90°:
- 2θ 18.2, d 4.871, intensity 17
- 2θ 19.5, d 4.553, intensity 17
- 2θ 25.9, d 3.444, intensity 100
- 2θ 34.8, d 2.575, intensity 59
- 2θ 51.7, d 1.769, intensity 57
- 2θ 65.2, d 1.431, intensity 18

Structural model:
```
data_NaNbAs2O8
_cell_length_a 6.888
_cell_length_b 6.888
_cell_length_c 6.067
_cell_angle_alpha 90.00
_cell_angle_beta 90.00
_cell_angle_gamma 90.00
_symmetry_space_group_name_H-M 'I -4 m 2'
_symmetry_Int_Tables_number 119
_symmetry_space_group_name_Hall 'I -4 -2'
loop_
_atom_site_label
_atom_site_fract_x
_atom_site_fract_y
_atom_site_fract_z
_atom_site_occupancy
Na1 0.000 0.000 0.000 1
Nb1 0.000 0.500 0.750 1
As1 0.000 0.000 0.500 1
As2 0.000 0.500 0.250 1
O1 0.000 0.199 0.672 1
O2 0.000 0.322 0.050 1
```



No. 6
# Na3NdAs2O8
Simulated powder diffractogram, copper Kα. Input: a structure optimized by DFT (PBE).
Intensities are scaled so that the largest is 100.

Largest 6 diffraction maxima, sorted by position, 2θ = 15–90°:
- 2θ 21.2, d 4.183, intensity 100
- 2θ 30.1, d 2.968, intensity 79
- 2θ 30.3, d 2.948, intensity 63
- 2θ 43.3, d 2.091, intensity 39
- 2θ 48.5, d 1.876, intensity 21
- 2θ 53.6, d 1.710, intensity 23

Structural model:
```
data_Na3NdAs2O8
_cell_length_a 5.9357
_cell_length_b 5.9357
_cell_length_c 7.1960
_cell_angle_alpha 90.00
_cell_angle_beta 90.00
_cell_angle_gamma 120.00
_symmetry_space_group_name_H-M 'P -3 m 1'
_symmetry_Int_Tables_number 164
_symmetry_space_group_name_Hall '-P 3 2"'
loop_
_atom_site_label
_atom_site_fract_x
_atom_site_fract_y
_atom_site_fract_z
_atom_site_occupancy
Na1 0.0000 0.0000 0.0000 1
Na2 0.3333 0.6667 0.6768 1
Nd1 0.0000 0.0000 0.5000 1
As1 0.3333 0.6667 0.2079 1
O1 0.1785 0.3570 0.3034 1
O2 0.3333 0.6667 0.9759 1
```



No. 7
# Na3NiAs
Simulated powder diffractogram, copper Kα. Input: a structure optimized by DFT (PBE).
Intensities are scaled so that the largest is 100.

Largest 6 diffraction maxima, sorted by position, 2θ = 15–90°:
- 2θ 24.2, d 3.680, intensity 100
- 2θ 29.7, d 3.005, intensity 21
- 2θ 34.5, d 2.602, intensity 66
- 2θ 42.5, d 2.125, intensity 44
- 2θ 49.5, d 1.840, intensity 45
- 2θ 67.3, d 1.391, intensity 21

Structural model:
```
data_Na3NiAs
_cell_length_a 5.205
_cell_length_b 5.205
_cell_length_c 5.205
_cell_angle_alpha 90.00
_cell_angle_beta 90.00
_cell_angle_gamma 90.00
_symmetry_space_group_name_H-M 'P m -3 m'
_symmetry_Int_Tables_number 221
_symmetry_space_group_name_Hall '-P 4 2 3'
loop_
_atom_site_label
_atom_site_fract_x
_atom_site_fract_y
_atom_site_fract_z
_atom_site_occupancy
Na1 0.000 0.000 0.500 1
Ni1 0.000 0.000 0.000 1
As1 0.500 0.500 0.500 1
```



What is the formula in the sixth record? Na3NdAs2O8